Theoretical powder diffractogram
Compound: Rb2MoBr6
Radiation: a wavelength of 1.5418 Å
Structure: a GGA-PBE-relaxed structure

Largest 10 diffraction maxima, sorted by position, 2θ from 5° to 70°:
| 2θ/deg | I/Imax |
| --- | --- |
| 14.29 | 30 |
| 16.51 | 8 |
| 23.43 | 10 |
| 27.55 | 8 |
| 28.80 | 100 |
| 33.38 | 91 |
| 43.81 | 9 |
| 47.92 | 63 |
| 56.88 | 40 |
| 59.66 | 21 |

Crystal structure
```
Rb2MoBr6
1.0
0.0000 5.3689 5.3689
5.3689 0.0000 5.3689
5.3689 5.3689 0.0000
Rb Mo Br
2 1 6
Direct
0.2500 0.2500 0.2500
0.7500 0.7500 0.7500
0.0000 0.0000 0.0000
0.2390 0.2390 0.7610
0.2390 0.7610 0.2390
0.2390 0.7610 0.7610
0.7610 0.2390 0.2390
0.7610 0.2390 0.7610
0.7610 0.7610 0.2390
```